# NaLi2Ca
Computed powder diffraction line list, a wavelength of 1.5418 Å. Input: a cell relaxed with GGA-PBE.
Lines closer than 0.1° are merged.

Principal peaks in the range 10 to 90 degrees two-theta, in order of rising 2θ:
2theta	d_spacing	I (rel.)
10.97	8.067	19
22.04	4.033	37
23.07	3.854	65
32.12	2.787	100
32.86	2.726	47
39.92	2.258	29
47.16	1.927	16
51.12	1.787	13
56.79	1.621	17
58.20	1.585	32

```
NaLi2Ca
1.0
3.854 0.000 0.000
0.000 3.854 0.000
0.000 0.000 8.067
Na Li Ca
1 2 1
Direct
0.000 0.000 0.000
0.500 0.500 0.231
0.500 0.500 0.769
0.000 0.000 0.500
```